# 1
Starting from a structure optimized by DFT (GGA-PBE), the powder diffractogram of ZrTl2I6 was simulated for a wavelength of 1.5418 Å.
No peak broadening, texture or thermal motion is included.

Cell and atoms:
```
ZrTl2I6
1.0
-4.069 4.069 5.650
4.069 -4.069 5.650
4.069 4.069 -5.650
Zr Tl I
1 2 6
Direct
0.000 0.000 0.000
0.250 0.750 0.500
0.750 0.250 0.500
0.249 0.249 0.498
0.249 0.751 0.000
0.253 0.253 0.000
0.747 0.747 0.000
0.751 0.249 0.000
0.751 0.751 0.502
```

Main lines, in order of rising 2θ (2θ from 10° to 90°):
| 2θ (°) | d [Å] | I_rel |
| --- | --- | --- |
| 27.00 | 3.302 | 100 |
| 31.08 | 2.878 | 48 |
| 31.67 | 2.825 | 23 |
| 44.97 | 2.016 | 35 |
| 52.85 | 1.732 | 31 |
| 55.67 | 1.651 | 18 |

# 2
Starting from a structure optimized by DFT (GGA-PBE), the powder diffractogram of AlCdFeTe4 was simulated for a wavelength of 1.5418 Å.
No peak broadening, texture or thermal motion is included.

Cell and atoms:
```
AlCdFeTe4
1.0
8.188 0.000 0.000
0.000 8.188 0.000
0.000 0.000 11.495
Al Cd Fe Te
4 4 4 16
Direct
0.000 0.252 0.000
0.000 0.748 0.500
0.252 0.000 0.750
0.748 0.000 0.250
0.256 0.256 0.375
0.256 0.744 0.125
0.744 0.256 0.625
0.744 0.744 0.875
0.254 0.500 0.750
0.500 0.254 0.000
0.500 0.746 0.500
0.746 0.500 0.250
0.037 0.266 0.755
0.037 0.734 0.745
0.266 0.037 0.995
0.266 0.471 0.977
0.266 0.529 0.523
0.266 0.963 0.505
0.471 0.266 0.773
0.471 0.734 0.727
0.529 0.266 0.227
0.529 0.734 0.273
0.734 0.037 0.005
0.734 0.471 0.023
0.734 0.529 0.477
0.734 0.963 0.495
0.963 0.266 0.245
0.963 0.734 0.255
```

Main lines, in order of rising 2θ (2θ from 10° to 90°):
| 2θ (°) | d [Å] | I_rel |
| --- | --- | --- |
| 21.76 | 4.084 | 31 |
| 26.73 | 3.335 | 100 |
| 30.89 | 2.895 | 43 |
| 40.49 | 2.228 | 39 |
| 44.25 | 2.047 | 32 |
| 44.42 | 2.039 | 66 |

# 3
Starting from a structure optimized by DFT (GGA-PBE), the powder diffractogram of GaAg15 was simulated for a wavelength of 1.5418 Å.
No peak broadening, texture or thermal motion is included.

Cell and atoms:
```
GaAg15
1.0
5.093 0.000 0.000
0.000 37.163 0.000
-1.758 0.000 4.788
Ga Ag
2 30
Direct
0.000 0.210 0.250
0.000 0.790 0.750
0.000 0.241 0.750
0.000 0.284 0.250
0.000 0.322 0.750
0.000 0.362 0.250
0.000 0.401 0.750
0.000 0.441 0.250
0.000 0.480 0.750
0.000 0.520 0.250
0.000 0.559 0.750
0.000 0.599 0.250
0.000 0.638 0.750
0.000 0.678 0.250
0.000 0.716 0.750
0.000 0.759 0.250
0.500 0.205 0.750
0.500 0.240 0.250
0.500 0.283 0.750
0.500 0.322 0.250
0.500 0.362 0.750
0.500 0.401 0.250
0.500 0.441 0.750
0.500 0.480 0.250
0.500 0.520 0.750
0.500 0.559 0.250
0.500 0.599 0.750
0.500 0.638 0.250
0.500 0.678 0.750
0.500 0.717 0.250
0.500 0.760 0.750
0.500 0.795 0.250
```

Main lines, in order of rising 2θ (2θ from 10° to 90°):
| 2θ (°) | d [Å] | I_rel |
| --- | --- | --- |
| 36.10 | 2.488 | 51 |
| 37.61 | 2.392 | 100 |
| 38.14 | 2.360 | 66 |
| 42.57 | 2.124 | 31 |
| 43.32 | 2.089 | 39 |
| 44.36 | 2.042 | 43 |

# 4
Starting from a structure optimized by DFT (GGA-PBE), the powder diffractogram of SmGd2Ga3Cu3 was simulated for a wavelength of 1.5418 Å.
No peak broadening, texture or thermal motion is included.

Cell and atoms:
```
SmGd2Ga3Cu3
1.0
3.922 0.000 0.000
0.000 6.207 3.587
0.000 -6.207 3.587
Sm Gd Ga Cu
1 2 3 3
Direct
0.000 0.000 0.000
0.000 0.412 0.823
0.000 0.823 0.412
0.500 0.167 0.414
0.500 0.414 0.167
0.500 0.656 0.656
0.000 0.413 0.413
0.500 0.080 0.743
0.500 0.743 0.080
```

Main lines, in order of rising 2θ (2θ from 10° to 90°):
| 2θ (°) | d [Å] | I_rel |
| --- | --- | --- |
| 33.87 | 2.646 | 100 |
| 36.92 | 2.434 | 85 |
| 38.35 | 2.347 | 45 |
| 46.30 | 1.961 | 23 |
| 58.53 | 1.577 | 27 |
| 61.63 | 1.505 | 22 |

# 5
Starting from a structure optimized by DFT (GGA-PBE), the powder diffractogram of Sr3Cu2Ge4Pd2 was simulated for a wavelength of 1.5418 Å.
No peak broadening, texture or thermal motion is included.

Cell and atoms:
```
Sr3Cu2Ge4Pd2
1.0
-2.196 2.257 12.320
2.196 -2.257 12.320
2.196 2.257 -12.320
Sr Cu Ge Pd
3 2 4 2
Direct
0.000 0.000 0.000
0.148 0.648 0.500
0.852 0.352 0.500
0.401 0.901 0.500
0.599 0.099 0.500
0.301 0.801 0.500
0.448 0.448 0.000
0.552 0.552 0.000
0.699 0.199 0.500
0.249 0.249 0.000
0.751 0.751 0.000
```

Main lines, in order of rising 2θ (2θ from 10° to 90°):
| 2θ (°) | d [Å] | I_rel |
| --- | --- | --- |
| 31.93 | 2.803 | 100 |
| 32.25 | 2.776 | 42 |
| 39.95 | 2.257 | 37 |
| 41.11 | 2.196 | 34 |
| 53.20 | 1.722 | 23 |
| 58.66 | 1.574 | 23 |

# 6
Starting from a structure optimized by DFT (GGA-PBE), the powder diffractogram of Y2Er2TmLu2Ni2Te2 was simulated for a wavelength of 1.5418 Å.
No peak broadening, texture or thermal motion is included.

Cell and atoms:
```
Y2Er2TmLu2Ni2Te2
1.0
-1.908 7.728 4.761
1.908 -7.728 4.761
1.908 7.728 -4.761
Y Er Tm Lu Ni Te
2 2 1 2 2 2
Direct
0.185 0.000 0.185
0.815 0.000 0.815
0.165 0.798 0.368
0.430 0.798 0.632
0.877 0.377 0.500
0.503 0.650 0.853
0.796 0.650 0.147
0.041 0.304 0.738
0.566 0.304 0.262
0.144 0.144 0.000
0.543 0.043 0.500
```

Main lines, in order of rising 2θ (2θ from 10° to 90°):
| 2θ (°) | d [Å] | I_rel |
| --- | --- | --- |
| 30.58 | 2.923 | 50 |
| 33.15 | 2.702 | 61 |
| 34.35 | 2.611 | 100 |
| 34.81 | 2.577 | 48 |
| 51.55 | 1.773 | 25 |
| 59.29 | 1.559 | 30 |